(1)
# TiMn3O8
Calculated powder diffraction line list, Cu Kα X-rays. Input: a DFT-relaxed cell (PBE+U, Alexandria).

Top 10 peaks for 2θ = 10–90°, most intense first:
d = 4.785 Å, 2θ 18.54, I = 100, hkl 1 1 1; d = 2.072 Å, 2θ 43.69, I = 50, hkl 4 0 0; d = 2.499 Å, 2θ 35.94, I = 33, hkl 3 1 1; d = 1.465 Å, 2θ 63.49, I = 25, hkl 4 4 0; d = 1.595 Å, 2θ 57.80, I = 16, hkl 5 1 1; d = 1.401 Å, 2θ 66.77, I = 13, hkl 5 3 1; d = 1.901 Å, 2θ 47.84, I = 9, hkl 3 3 1; d = 2.393 Å, 2θ 37.59, I = 8, hkl 2 2 2; d = 1.196 Å, 2θ 80.24, I = 7, hkl 4 4 4; d = 1.161 Å, 2θ 83.25, I = 7, hkl 5 5 1

Structure:
```
data_TiMn3O8
_space_group_name_H-M_alt 'P 43 3 2'
_space_group_IT_number 212
_space_group_name_Hall 'P 4acd 2ab 3'
_cell_length_a 8.288
_cell_length_b 8.288
_cell_length_c 8.288
_cell_angle_alpha 90.00
_cell_angle_beta 90.00
_cell_angle_gamma 90.00
loop_
_atom_site_label
_atom_site_type_symbol
_atom_site_fract_x
_atom_site_fract_y
_atom_site_fract_z
Ti1 Ti 0.125 0.125 0.125
Mn1 Mn 0.123 0.873 0.875
O1 O 0.106 0.886 0.109
O2 O 0.111 0.389 0.611
```

(2)
# NaMg2NiF8
Calculated powder diffraction line list, Cu Kα X-rays. Input: a DFT-relaxed cell (PBE+U, Alexandria).

Top 10 peaks for 2θ = 10–90°, most intense first:
d = 3.373 Å, 2θ 26.43, I = 100, hkl 1 0 -1; d = 3.338 Å, 2θ 26.71, I = 91, hkl 1 0 1; d = 2.300 Å, 2θ 39.17, I = 76, hkl 1 2 1; d = 1.764 Å, 2θ 51.83, I = 68, hkl 2 2 -1; d = 6.348 Å, 2θ 13.95, I = 60, hkl 0 1 0; d = 1.774 Å, 2θ 51.52, I = 35, hkl 1 2 -2; d = 2.633 Å, 2θ 34.05, I = 35, hkl 1 2 0; d = 1.423 Å, 2θ 65.63, I = 32, hkl 0 2 3; d = 1.754 Å, 2θ 52.13, I = 32, hkl 2 2 1; d = 3.816 Å, 2θ 23.31, I = 30, hkl 0 1 1

Structure:
```
data_NaMg2NiF8
_space_group_name_H-M_alt 'P 1 2/m 1'
_space_group_IT_number 10
_space_group_name_Hall '-P 2y'
_cell_length_a 4.716
_cell_length_b 6.348
_cell_length_c 4.775
_cell_angle_alpha 90.00
_cell_angle_beta 90.60
_cell_angle_gamma 90.00
loop_
_atom_site_label
_atom_site_type_symbol
_atom_site_fract_x
_atom_site_fract_y
_atom_site_fract_z
Na1 Na 0.000 0.000 0.000
Mg1 Mg 0.500 0.247 0.500
Ni1 Ni 0.000 0.500 0.000
F1 F 0.205 0.287 0.194
F2 F 0.292 0.500 0.699
F3 F 0.314 0.000 0.674
```